Computed powder diffractogram
Compound: LaSm3Fe4O12
Radiation: copper Kα
Structure: DFT lattice parameters and positions (PBE+U)

Top 6 peaks for 2θ = 10–80°, sorted by position:
d 3.944, 22.54 deg, I 15.9, (1 0 1); d 2.843, 31.47 deg, I 20.2, (0 0 2); d 2.781, 32.19 deg, I 100.0, (1 2 1); d 2.738, 32.70 deg, I 24.4, (2 0 0); d 1.972, 46.02 deg, I 20.8, (2 0 2); d 1.589, 58.05 deg, I 22.2, (3 2 1)

Crystal structure
Cell lengths 5.4766, 7.8404, 5.6858 Å; angles 90.00, 90.09, 90.00 degrees
Atoms (fractional coordinates):
La (0.0000, 0.0000, 0.0000)
Sm (0.4727, 0.0000, 0.5089)
Sm (0.5034, 0.5000, 0.3913)
Sm (0.9722, 0.5000, 0.8877)
Fe (0.4875, 0.2525, 0.9503)
Fe (0.4875, 0.7475, 0.9503)
Fe (0.9895, 0.2518, 0.4481)
Fe (0.9895, 0.7482, 0.4481)
O (0.0907, 0.5000, 0.4821)
O (0.1930, 0.2024, 0.7446)
O (0.1930, 0.7976, 0.7446)
O (0.2928, 0.1999, 0.2533)
O (0.2928, 0.8001, 0.2533)
O (0.3844, 0.5000, 0.9855)
O (0.5745, 0.0000, 0.9174)
O (0.6920, 0.3047, 0.6533)
O (0.6920, 0.6953, 0.6533)
O (0.7882, 0.3051, 0.1510)
O (0.7882, 0.6949, 0.1510)
O (0.8869, 0.0000, 0.4254)